Entry 1:
PrCr2Si2C: simulated powder diffraction line list (Cu Kα), based on a crystal structure in the Materials Project, relaxed with PBE.

Structural model:
Unit cell a=4.016 b=4.016 c=5.406 alpha=90.00 beta=90.00 gamma=90.00
Fractional positions:
1 Pr 0.000 0.000 0.000
2 Cr 0.000 0.500 0.500
3 Cr 0.500 0.000 0.500
4 Si 0.500 0.500 0.235
5 Si 0.500 0.500 0.765
6 C 0.000 0.000 0.500

Most intense lines, 10 to 90 degrees two-theta, sorted by position:
hkl 1 0 0, 22.14°, rel. 25; hkl 1 0 1, 27.67°, rel. 51; hkl 0 0 2, 33.14°, rel. 21; hkl 1 1 1, 35.72°, rel. 100; hkl 1 0 2, 40.22°, rel. 52; hkl 2 0 0, 45.16°, rel. 42; hkl 2 1 1, 53.79°, rel. 17; hkl 1 1 3, 60.88°, rel. 17; hkl 2 1 2, 62.04°, rel. 28; hkl 3 1 1, 77.16°, rel. 20

=====

Entry 2:
YAl3: simulated powder diffraction line list (Cu Kα), based on a crystal structure in the Materials Project, relaxed with PBE.

Structural model:
Unit cell a=6.274 b=6.274 c=4.632 alpha=90.00 beta=90.00 gamma=120.00
Fractional positions:
1 Y 0.333 0.667 0.250
2 Y 0.667 0.333 0.750
3 Al 0.146 0.293 0.750
4 Al 0.146 0.854 0.750
5 Al 0.293 0.146 0.250
6 Al 0.707 0.854 0.750
7 Al 0.854 0.146 0.250
8 Al 0.854 0.707 0.250

Most intense lines, 10 to 90 degrees two-theta, sorted by position:
hkl 1 0 1, 25.27°, rel. 56; hkl 1 1 0, 28.45°, rel. 25; hkl 2 0 0, 32.97°, rel. 25; hkl 2 0 1, 38.41°, rel. 100; hkl 0 0 2, 38.89°, rel. 23; hkl 2 0 2, 51.88°, rel. 13; hkl 2 2 0, 58.88°, rel. 16; hkl 2 0 3, 70.10°, rel. 16; hkl 4 0 1, 72.52°, rel. 12; hkl 2 2 2, 72.83°, rel. 17